# 1
# Cs2InICl2
Theoretical XRD peak list, a wavelength of 1.5418 Å. Input: a cell relaxed with PBE.

Top 6 peaks for 2θ from 5° to 70°, in order of rising 2θ:
- 2θ 21.4, I = 600
- 2θ 26.2, I = 1000
- 2θ 30.4, I = 469
- 2θ 40.6, I = 613
- 2θ 43.6, I = 243
- 2θ 49.0, I = 267

```
Cs2InICl2
1.0
5.874 0.000 0.000
0.000 5.874 0.000
0.000 0.000 8.322
Cs In I Cl
2 1 1 2
direct
0.000 0.000 0.250
0.000 0.000 0.750
0.500 0.500 0.000
0.500 0.500 0.500
0.000 0.500 0.000
0.500 0.000 0.000
```



# 2
# Cs3In2I2Cl3
Theoretical XRD peak list, a wavelength of 1.5418 Å. Input: a cell relaxed with PBE.

Top 6 peaks for 2θ from 5° to 70°, in order of rising 2θ:
- 2θ 20.6, I = 1000
- 2θ 23.2, I = 346
- 2θ 33.1, I = 568
- 2θ 34.4, I = 994
- 2θ 39.3, I = 390
- 2θ 59.9, I = 382

```
Cs3In2I2Cl3
1.0
-2.710 2.710 17.810
2.710 -2.710 17.810
2.710 2.710 -17.810
Cs In I Cl
3 2 2 3
direct
0.000 0.000 0.000
0.404 0.404 0.000
0.596 0.596 0.000
0.198 0.198 0.000
0.802 0.802 0.000
0.250 0.750 0.500
0.750 0.250 0.500
0.095 0.095 0.000
0.500 0.500 0.000
0.905 0.905 0.000
```



# 3
# Cs2LaI6Cl
Theoretical XRD peak list, a wavelength of 1.5418 Å. Input: a cell relaxed with PBE.

Top 6 peaks for 2θ from 5° to 70°, in order of rising 2θ:
- 2θ 23.9, I = 1000
- 2θ 26.0, I = 825
- 2θ 30.8, I = 257
- 2θ 37.2, I = 298
- 2θ 40.8, I = 442
- 2θ 44.7, I = 307

```
Cs2LaI6Cl
1.0
-4.840 4.840 5.807
4.840 -4.840 5.807
4.840 4.840 -5.807
Cs La I Cl
2 1 6 1
direct
0.250 0.750 0.500
0.750 0.250 0.500
0.000 0.000 0.000
0.228 0.228 0.456
0.228 0.772 0.000
0.277 0.277 0.000
0.723 0.723 0.000
0.772 0.228 0.000
0.772 0.772 0.544
0.500 0.500 0.000
```



# 4
# Cs3Li2I2Cl4
Theoretical XRD peak list, a wavelength of 1.5418 Å. Input: a cell relaxed with PBE.

Top 6 peaks for 2θ from 5° to 70°, in order of rising 2θ:
- 2θ 17.5, I = 374
- 2θ 24.5, I = 433
- 2θ 26.7, I = 1000
- 2θ 30.1, I = 298
- 2θ 34.9, I = 462
- 2θ 44.5, I = 490

```
Cs3Li2I2Cl4
1.0
-2.569 2.569 15.383
2.569 -2.569 15.383
2.569 2.569 -15.383
Cs Li I Cl
3 2 2 4
direct
0.000 0.000 0.000
0.155 0.155 0.000
0.845 0.845 0.000
0.417 0.417 0.000
0.583 0.583 0.000
0.279 0.279 0.000
0.721 0.721 0.000
0.079 0.579 0.500
0.421 0.921 0.500
0.579 0.079 0.500
0.921 0.421 0.500
```



# 5
# Cs2MnICl6
Theoretical XRD peak list, a wavelength of 1.5418 Å. Input: a cell relaxed with PBE.

Top 6 peaks for 2θ from 5° to 70°, in order of rising 2θ:
- 2θ 21.7, I = 598
- 2θ 22.6, I = 1000
- 2θ 27.4, I = 300
- 2θ 30.9, I = 560
- 2θ 38.6, I = 367
- 2θ 46.2, I = 343

```
Cs2MnICl6
1.0
-4.091 4.091 5.357
4.091 -4.091 5.357
4.091 4.091 -5.357
Cs Mn I Cl
2 1 1 6
direct
0.250 0.750 0.500
0.750 0.250 0.500
0.000 0.000 0.000
0.500 0.500 0.000
0.197 0.197 0.393
0.197 0.803 0.000
0.260 0.260 0.000
0.740 0.740 0.000
0.803 0.197 0.000
0.803 0.803 0.607
```



# 6
# CsMnI2Cl
Theoretical XRD peak list, a wavelength of 1.5418 Å. Input: a cell relaxed with PBE.

Top 6 peaks for 2θ from 5° to 70°, in order of rising 2θ:
- 2θ 26.7, I = 1000
- 2θ 26.9, I = 303
- 2θ 32.7, I = 291
- 2θ 39.2, I = 212
- 2θ 42.9, I = 207
- 2θ 47.4, I = 206

```
CsMnI2Cl
1.0
-3.869 3.869 6.629
3.869 -3.869 6.629
3.869 3.869 -6.629
Cs Mn I Cl
2 2 4 2
direct
0.000 0.500 0.500
0.500 0.000 0.500
0.303 0.303 0.000
0.803 0.803 0.000
0.049 0.549 0.103
0.446 0.946 0.897
0.549 0.446 0.500
0.946 0.049 0.500
0.478 0.478 0.000
0.978 0.978 0.000
```